Entry 1:
Theoretical PXRD pattern
Compound: Rb2TlAgF6
Radiation: Cu Kα (weighted mean of Kα1 and Kα2)
Structure: a structure optimized by DFT (PBE)
Intensities are scaled so that the largest is 100.

Structural model:
a = 6.465 Å, b = 6.498 Å, c = 11.188 Å
α = 90.00°, β = 125.24°, γ = 90.00°
Fractional coordinates of all 20 atoms:
Rb (0.245, 0.030, 0.250)
Rb (0.245, 0.470, 0.750)
Rb (0.755, 0.530, 0.250)
Rb (0.755, 0.970, 0.750)
Tl (0.500, 0.000, 0.000)
Tl (0.500, 0.500, 0.500)
Ag (0.000, 0.000, 0.500)
Ag (0.000, 0.500, 0.000)
F (0.196, 0.202, 0.969)
F (0.196, 0.298, 0.469)
F (0.266, 0.727, 0.966)
F (0.266, 0.773, 0.466)
F (0.324, 0.018, 0.761)
F (0.324, 0.482, 0.261)
F (0.676, 0.518, 0.739)
F (0.676, 0.982, 0.239)
F (0.734, 0.227, 0.534)
F (0.734, 0.273, 0.034)
F (0.804, 0.702, 0.531)
F (0.804, 0.798, 0.031)

Main lines, sorted by position (10 to 80 degrees two-theta):
- 16.77 deg, I 11.6
- 19.39 deg, I 21.7
- 27.45 deg, I 20.1
- 27.57 deg, I 100.0
- 39.32 deg, I 24.9
- 39.44 deg, I 13.0
- 48.60 deg, I 16.2
- 48.76 deg, I 32.5
- 56.93 deg, I 18.6
- 78.25 deg, I 9.5



Entry 2:
Theoretical PXRD pattern
Compound: Rb2Tm3AgF12
Radiation: Cu Kα (weighted mean of Kα1 and Kα2)
Structure: a structure optimized by DFT (PBE)
Intensities are scaled so that the largest is 100.

Structural model:
a = 7.857 Å, b = 7.857 Å, c = 7.857 Å
α = 63.60°, β = 63.60°, γ = 63.60°
Fractional coordinates of all 18 atoms:
Rb (0.139, 0.139, 0.139)
Rb (0.861, 0.861, 0.861)
Tm (0.000, 0.500, 0.500)
Tm (0.500, 0.000, 0.500)
Tm (0.500, 0.500, 0.000)
Ag (0.500, 0.500, 0.500)
F (0.112, 0.613, 0.613)
F (0.207, 0.207, 0.582)
F (0.207, 0.582, 0.207)
F (0.387, 0.387, 0.888)
F (0.387, 0.888, 0.387)
F (0.418, 0.793, 0.793)
F (0.582, 0.207, 0.207)
F (0.613, 0.112, 0.613)
F (0.613, 0.613, 0.112)
F (0.793, 0.418, 0.793)
F (0.793, 0.793, 0.418)
F (0.888, 0.387, 0.387)

Main lines, sorted by position (10 to 80 degrees two-theta):
- 13.22 deg, I 59.5
- 14.20 deg, I 32.1
- 25.29 deg, I 85.0
- 25.83 deg, I 100.0
- 26.63 deg, I 77.4
- 28.63 deg, I 42.0
- 40.41 deg, I 35.9
- 43.73 deg, I 58.5
- 46.36 deg, I 35.5
- 53.10 deg, I 36.1